No. 1
The following is a computed powder diffraction line list of Co3P6WO24. It was derived from DFT lattice parameters and positions (PBE+U), using Cu Kα (weighted mean of Kα1 and Kα2).

Peak list (12 most intense, 10 to 90 degrees two-theta, by angle)
d (Å)	two_theta	I_rel
7.139	12.4	30
6.226	14.2	66
4.450	20.0	100
4.357	20.4	66
3.747	23.7	86
3.113	28.7	64
2.808	31.9	46
2.533	35.4	28
2.515	35.7	25
1.982	45.8	19
1.744	52.5	26
1.647	55.8	20

Structure:
```
data_Co3P6WO24
_cell_length_a 8.7138
_cell_length_b 8.7138
_cell_length_c 22.0398
_cell_angle_alpha 90.00
_cell_angle_beta 90.00
_cell_angle_gamma 120.00
_space_group_name_H-M_alt 'R 3'
_space_group_IT_number 146
_space_group_name_Hall 'R 3'
loop_
_atom_site_label
_atom_site_fract_x
_atom_site_fract_y
_atom_site_fract_z
Co1 0.0000 0.0000 0.0000
Co2 0.0000 0.0000 0.2164
Co3 0.0000 0.0000 0.4993
P1 0.0000 0.2859 0.6065
P2 0.0040 0.7198 0.1087
W1 0.0000 0.0000 0.7166
O1 0.0249 0.8281 0.0519
O2 0.0261 0.8324 0.7657
O3 0.0276 0.2001 0.5508
O4 0.0326 0.1979 0.2694
O5 0.1613 0.4714 0.6152
O6 0.1629 0.6935 0.1161
O7 0.1649 0.4756 0.3314
O8 0.1652 0.7011 0.8318
```

No. 2
The following is a computed powder diffraction line list of Li5Co3O8. It was derived from DFT lattice parameters and positions (PBE+U), using Cu Kα (weighted mean of Kα1 and Kα2).

Peak list (12 most intense, 10 to 90 degrees two-theta, by angle)
d (Å)	two_theta	I_rel
5.041	17.6	15
4.758	18.6	100
4.608	19.3	10
4.315	20.6	11
2.486	36.1	13
2.469	36.4	27
2.054	44.1	93
1.878	48.5	9
1.585	58.2	11
1.455	64.0	17
1.450	64.2	16
1.442	64.7	9

Structure:
```
data_Li5Co3O8
_cell_length_a 19.093
_cell_length_b 2.883
_cell_length_c 5.057
_cell_angle_alpha 90.00
_cell_angle_beta 94.54
_cell_angle_gamma 90.00
_space_group_name_H-M_alt 'C 1 2/m 1'
_space_group_IT_number 12
loop_
_space_group_symop_operation_xyz
'x,y,z'
'-x,-y,-z'
'-x,y,-z'
'x,-y,z'
'x+1/2,y+1/2,z'
'-x+1/2,-y+1/2,-z'
'-x+1/2,y+1/2,-z'
'x+1/2,-y+1/2,z'
loop_
_atom_site_label
_atom_site_fract_x
_atom_site_fract_y
_atom_site_fract_z
Li1 0.000 0.000 0.000
Li2 0.122 0.000 0.376
Li3 0.122 0.500 0.882
Co1 0.000 0.500 0.500
Co2 0.250 0.000 0.750
O1 0.055 0.000 0.666
O2 0.055 0.500 0.227
O3 0.190 0.000 0.070
O4 0.192 0.500 0.574
```

No. 3
The following is a computed powder diffraction line list of NiPO4. It was derived from DFT lattice parameters and positions (PBE+U), using Cu Kα (weighted mean of Kα1 and Kα2).

Peak list (12 most intense, 10 to 90 degrees two-theta, by angle)
d (Å)	two_theta	I_rel
7.028	12.6	13
4.267	20.8	33
4.107	21.6	100
4.058	21.9	16
3.648	24.4	11
3.514	25.3	50
3.238	27.6	13
2.788	32.1	44
2.656	33.7	36
2.298	39.2	14
1.855	49.1	21
1.424	65.5	21

Structure:
```
data_NiPO4
_cell_length_a 14.0566
_cell_length_b 14.0566
_cell_length_c 9.1130
_cell_angle_alpha 90.00
_cell_angle_beta 90.00
_cell_angle_gamma 120.00
_space_group_name_H-M_alt 'R 3'
_space_group_IT_number 146
_space_group_name_Hall 'R 3'
loop_
_atom_site_label
_atom_site_fract_x
_atom_site_fract_y
_atom_site_fract_z
Ni1 0.0041 0.2024 0.0000
Ni2 0.0210 0.8052 0.5008
P1 0.1365 0.6710 0.5029
P2 0.1412 0.4541 0.0011
O1 0.0287 0.3447 0.0034
O2 0.0291 0.6778 0.4968
O3 0.0480 0.8609 0.6908
O4 0.0690 0.8667 0.9657
O5 0.0962 0.2139 0.3646
O6 0.1944 0.4713 0.8465
O7 0.2118 0.4466 0.5231
O8 0.2170 0.4486 0.1186
```